Record 1
Theoretical X-ray diffraction stick pattern of CsLiCe4S8 for Cu Kα (weighted mean of Kα1 and Kα2), from the PBE geometry in Alexandria.

Cell and atoms:
```
data_CsLiCe4S8
_cell_length_a 8.4106
_cell_length_b 8.4106
_cell_length_c 8.4106
_cell_angle_alpha 61.39
_cell_angle_beta 61.39
_cell_angle_gamma 61.39
_space_group_name_H-M_alt 'P 1'
_space_group_IT_number 1
_space_group_name_Hall 'P 1'
loop_
_atom_site_label
_atom_site_type_symbol
_atom_site_fract_x
_atom_site_fract_y
_atom_site_fract_z
Cs1 Cs 0.0000 0.0000 0.0000
Li1 Li 0.6405 0.6405 0.6405
Ce1 Ce 0.1050 0.6185 0.6185
Ce2 Ce 0.2323 0.2323 0.2323
Ce3 Ce 0.6185 0.1050 0.6185
Ce4 Ce 0.6185 0.6185 0.1050
S1 S 0.3577 0.3577 0.8427
S2 S 0.3577 0.8427 0.3577
S3 S 0.3723 0.3723 0.3723
S4 S 0.4410 0.8435 0.8435
S5 S 0.8427 0.3577 0.3577
S6 S 0.8435 0.4410 0.8435
S7 S 0.8435 0.8435 0.4410
S8 S 0.8456 0.8456 0.8456
```

The 8 most intense peaks (2θ = 10–90°), in order of falling intensity:
2theta	Rel. int.
24.33	100
21.14	68
42.09	54
24.53	49
43.04	46
13.03	42
39.30	34
24.91	33

Record 2
Theoretical X-ray diffraction stick pattern of Cs3LiCe2Te6 for Cu Kα (weighted mean of Kα1 and Kα2), from the PBE geometry in Alexandria.

Cell and atoms:
```
data_Cs3LiCe2Te6
_cell_length_a 8.0340
_cell_length_b 8.0340
_cell_length_c 9.2048
_cell_angle_alpha 98.28
_cell_angle_beta 98.28
_cell_angle_gamma 120.03
_space_group_name_H-M_alt 'P 1'
_space_group_IT_number 1
_space_group_name_Hall 'P 1'
loop_
_atom_site_label
_atom_site_type_symbol
_atom_site_fract_x
_atom_site_fract_y
_atom_site_fract_z
Cs1 Cs 0.0000 0.0000 0.0000
Cs2 Cs 0.3389 0.6611 0.0000
Cs3 Cs 0.6611 0.3389 0.0000
Li1 Li 0.5000 0.5000 0.5000
Ce1 Ce 0.1672 0.8328 0.5000
Ce2 Ce 0.8328 0.1672 0.5000
Te1 Te 0.0933 0.4374 0.3117
Te2 Te 0.2196 0.2196 0.6842
Te3 Te 0.4374 0.0933 0.3117
Te4 Te 0.5626 0.9067 0.6883
Te5 Te 0.7804 0.7804 0.3158
Te6 Te 0.9067 0.5626 0.6883
```

The 8 most intense peaks (2θ = 10–90°), in order of falling intensity:
2theta	Rel. int.
25.94	100
38.84	58
25.99	49
35.16	43
62.80	24
27.89	23
47.32	19
50.22	12

Record 3
Theoretical X-ray diffraction stick pattern of CsCeMg14 for Cu Kα (weighted mean of Kα1 and Kα2), from the PBE geometry in Alexandria.

Cell and atoms:
```
data_CsCeMg14
_cell_length_a 6.7741
_cell_length_b 6.7741
_cell_length_c 10.6572
_cell_angle_alpha 90.00
_cell_angle_beta 90.00
_cell_angle_gamma 120.00
_space_group_name_H-M_alt 'P 1'
_space_group_IT_number 1
_space_group_name_Hall 'P 1'
loop_
_atom_site_label
_atom_site_type_symbol
_atom_site_fract_x
_atom_site_fract_y
_atom_site_fract_z
Cs1 Cs 0.0000 0.0000 0.0000
Ce1 Ce 0.0000 0.0000 0.5000
Mg1 Mg 0.0048 0.5024 0.5000
Mg2 Mg 0.0072 0.5036 0.0000
Mg3 Mg 0.1752 0.3503 0.2610
Mg4 Mg 0.1752 0.3503 0.7390
Mg5 Mg 0.1752 0.8248 0.2610
Mg6 Mg 0.1752 0.8248 0.7390
Mg7 Mg 0.4964 0.5036 0.0000
Mg8 Mg 0.4964 0.9928 0.0000
Mg9 Mg 0.4976 0.5024 0.5000
Mg10 Mg 0.4976 0.9952 0.5000
Mg11 Mg 0.6497 0.8248 0.2610
Mg12 Mg 0.6497 0.8248 0.7390
Mg13 Mg 0.6667 0.3333 0.2523
Mg14 Mg 0.6667 0.3333 0.7477
```

The 8 most intense peaks (2θ = 10–90°), in order of falling intensity:
2theta	Rel. int.
34.92	100
15.10	53
22.54	51
30.47	32
33.64	23
31.29	20
46.02	20
65.28	19